Record 1
Starting from a crystal structure in Alexandria, relaxed with GGA-PBE, the X-ray diffraction stick pattern of La2Ga6Rh9 was simulated for Cu Kα.
Kinematic intensities with the Lorentz-polarization factor, no thermal factor.

Principal peaks in the range 2θ from 15° to 90°, in order of falling intensity:
2θ = 39.6°, I = 100, hkl 1 1 3; 2θ = 43.9°, I = 74, hkl 2 0 3; 2θ = 36.8°, I = 67, hkl 2 0 0; 2θ = 66.3°, I = 32, hkl 2 2 0; 2θ = 18.2°, I = 28, hkl 1 0 0; 2θ = 61.9°, I = 26, hkl 3 0 3

abc: 5.6398 5.6398 11.5586
angles: 90.00 90.00 120.00
Space group P6/mmm (No. 191)
Unique sites:
La: 0.0000 0.0000 0.2046 x2
Ga: 0.3333 0.6667 0.1648 x4
Ga: 0.3333 0.6667 0.5000 x2
Rh: 0.0000 0.5000 0.0000 x3
Rh: 0.0000 0.5000 0.3314 x6

=====

Record 2
Starting from a crystal structure in Alexandria, relaxed with GGA-PBE, the X-ray diffraction stick pattern of La3Ga6Rh5 was simulated for Cu Kα.
Kinematic intensities with the Lorentz-polarization factor, no thermal factor.

Principal peaks in the range 2θ from 15° to 90°, in order of falling intensity:
2θ = 34.9°, I = 100, hkl 1 3 2; 2θ = 42.4°, I = 36, hkl 2 0 0; 2θ = 35.1°, I = 30, hkl 1 0 3; 2θ = 29.4°, I = 21, hkl 1 3 0; 2θ = 41.6°, I = 16, hkl 0 6 0; 2θ = 37.8°, I = 15, hkl 1 2 3

abc: 4.264 13.016 9.570
angles: 90.00 90.00 90.00
Space group Pmmn (No. 59, origin choice 2)
Unique sites:
La: 0.250 0.060 0.250 x4
La: 0.250 0.750 0.235 x2
Ga: 0.250 0.068 0.910 x4
Ga: 0.250 0.250 0.064 x2
Ga: 0.250 0.250 0.473 x2
Ga: 0.250 0.601 0.515 x4
Rh: 0.250 0.086 0.631 x4
Rh: 0.250 0.639 0.963 x4
Rh: 0.250 0.750 0.703 x2

=====

Record 3
Starting from a crystal structure in Alexandria, relaxed with GGA-PBE, the X-ray diffraction stick pattern of La4Ga16Rh3 was simulated for Cu Kα.
Kinematic intensities with the Lorentz-polarization factor, no thermal factor.

Principal peaks in the range 2θ from 15° to 90°, in order of falling intensity:
2θ = 36.9°, I = 100, hkl 2 0 3; 2θ = 40.5°, I = 81, hkl 2 2 0; 2θ = 32.4°, I = 36, hkl 2 0 2; 2θ = 30.8°, I = 33, hkl 1 1 3; 2θ = 57.6°, I = 30, hkl 2 2 5; 2θ = 42.6°, I = 27, hkl 2 0 4

abc: 6.294 6.294 11.511
angles: 90.00 90.00 90.00
Space group P4/mmm (No. 123)
Unique sites:
La: 0.000 0.500 0.194 x4
Ga: 0.000 0.000 0.196 x2
Ga: 0.212 0.212 0.000 x4
Ga: 0.252 0.252 0.385 x8
Ga: 0.500 0.500 0.225 x2
Rh: 0.000 0.500 0.500 x2
Rh: 0.500 0.500 0.000 x1

=====

Record 4
Starting from a crystal structure in Alexandria, relaxed with GGA-PBE, the X-ray diffraction stick pattern of LaGa3RuRh was simulated for Cu Kα.
Kinematic intensities with the Lorentz-polarization factor, no thermal factor.

Principal peaks in the range 2θ from 15° to 90°, in order of falling intensity:
2θ = 37.6°, I = 100, hkl 2 0 2; 2θ = 51.2°, I = 63, hkl 2 4 2; 2θ = 33.5°, I = 53, hkl 0 4 0; 2θ = 22.7°, I = 44, hkl 2 0 0; 2θ = 31.3°, I = 32, hkl 1 3 1; 2θ = 46.4°, I = 31, hkl 4 0 0

abc: 7.836 10.714 6.037
angles: 90.00 90.00 90.00
Space group Cmcm (No. 63)
Unique sites:
La: 0.000 0.240 0.250 x4
Ga: 0.000 0.258 0.750 x4
Ga: 0.248 0.000 0.000 x8
Ru: 0.000 0.040 0.750 x4
Rh: 0.000 0.477 0.750 x4

=====

Record 5
Starting from a crystal structure in Alexandria, relaxed with GGA-PBE, the X-ray diffraction stick pattern of LaZnGaRh2 was simulated for Cu Kα.
Kinematic intensities with the Lorentz-polarization factor, no thermal factor.

Principal peaks in the range 2θ from 15° to 90°, in order of falling intensity:
2θ = 31.0°, I = 100, hkl 1 3 1; 2θ = 41.9°, I = 99, hkl 1 5 1; 2θ = 35.5°, I = 72, hkl 0 2 2; 2θ = 33.2°, I = 51, hkl 2 0 0; 2θ = 46.7°, I = 31, hkl 2 4 1; 2θ = 47.2°, I = 30, hkl 2 0 2

abc: 5.397 13.025 5.493
angles: 90.00 90.00 90.00
Space group Cmme (No. 67)
Unique sites:
La: 0.000 0.250 0.232 x4
Zn: 0.000 0.000 0.000 x4
Ga: 0.250 0.000 0.500 x4
Rh: 0.000 0.143 0.700 x8

=====

Record 6
Starting from a crystal structure in Alexandria, relaxed with GGA-PBE, the X-ray diffraction stick pattern of La2Ga9Ru6 was simulated for Cu Kα.
Kinematic intensities with the Lorentz-polarization factor, no thermal factor.

Principal peaks in the range 2θ from 15° to 90°, in order of falling intensity:
2θ = 39.4°, I = 100, hkl 1 1 3; 2θ = 32.0°, I = 32, hkl 1 1 0; 2θ = 43.8°, I = 29, hkl 2 0 3; 2θ = 62.1°, I = 26, hkl 3 0 3; 2θ = 45.4°, I = 21, hkl 0 0 6; 2θ = 84.7°, I = 20, hkl 2 2 6

abc: 5.5858 5.5858 11.9805
angles: 90.00 90.00 120.00
Space group P6/mmm (No. 191)
Unique sites:
La: 0.0000 0.0000 0.1724 x2
Ga: 0.0000 0.5000 0.0000 x3
Ga: 0.0000 0.5000 0.3381 x6
Ru: 0.3333 0.6667 0.1714 x4
Ru: 0.3333 0.6667 0.5000 x2

=====

What is the formula in the third record?
La4Ga16Rh3